Theoretical X-ray diffraction stick pattern
Compound: Er2Tm2Lu3Ni2Te2
Radiation: copper Kα
Structure: a cell relaxed with GGA-PBE

Most intense lines, 10° ≤ 2θ ≤ 80°, in order of falling intensity:
Position (°2θ)	I (rel.)
34.5	100
33.4	81
30.7	75
35.0	50
59.5	36
47.7	29
51.9	27
35.1	24

Structural model:
```
Er2Tm2Lu3Ni2Te2
1.0
-1.907 7.662 4.722
1.907 -7.662 4.722
1.907 7.662 -4.722
Er Tm Lu Ni Te
2 2 3 2 2
Cartesian
0.000 2.842 0.000 Er
0.000 12.482 0.000 Er
0.000 5.597 1.940 Tm
0.000 9.726 1.940 Tm
1.907 0.000 1.170 Lu
1.907 5.417 -1.396 Lu
0.000 2.244 3.326 Lu
1.907 3.619 1.819 Ni
0.000 4.043 6.541 Ni
1.907 0.000 4.364 Te
0.000 0.000 8.090 Te
```


Theoretical X-ray diffraction stick pattern
Compound: ErTm2Lu4Ni2Te2
Radiation: copper Kα
Structure: a cell relaxed with GGA-PBE

Most intense lines, 10° ≤ 2θ ≤ 80°, in order of falling intensity:
Position (°2θ)	I (rel.)
34.7	100
33.6	82
30.8	74
35.1	53
59.7	37
47.9	29
52.2	27
35.3	24

Structural model:
```
ErTm2Lu4Ni2Te2
1.0
-1.900 7.630 4.703
1.900 -7.630 4.703
1.900 7.630 -4.703
Er Tm Lu Ni Te
1 2 4 2 2
Cartesian
0.000 0.000 0.000 Er
1.900 2.830 -1.168 Tm
0.000 4.800 3.535 Tm
1.900 -2.238 2.148 Lu
1.900 2.238 2.148 Lu
1.900 5.574 0.766 Lu
0.000 2.057 5.470 Lu
0.000 3.609 0.652 Ni
0.000 11.652 0.652 Ni
0.000 0.000 3.188 Te
0.000 7.630 2.182 Te
```


Theoretical X-ray diffraction stick pattern
Compound: Er3Tm2Lu2Ni2Te2
Radiation: copper Kα
Structure: a cell relaxed with GGA-PBE

Most intense lines, 10° ≤ 2θ ≤ 80°, in order of falling intensity:
Position (°2θ)	I (rel.)
34.5	100
33.4	82
30.7	75
34.9	51
59.5	31
47.7	29
35.1	24
37.0	23

Structural model:
```
Er3Tm2Lu2Ni2Te2
1.0
-1.905 7.678 4.733
1.905 -7.678 4.733
1.905 7.678 -4.733
Er Tm Lu Ni Te
3 2 2 2 2
Cartesian
0.000 0.000 0.000 Er
1.905 5.617 0.764 Er
0.000 2.060 5.497 Er
1.905 2.847 -1.168 Tm
0.000 4.830 3.565 Tm
1.905 -2.250 2.153 Lu
1.905 2.250 2.153 Lu
0.000 3.614 0.664 Ni
0.000 11.741 0.664 Ni
0.000 0.000 3.186 Te
0.000 7.678 2.213 Te
```


Theoretical X-ray diffraction stick pattern
Compound: Er3Tm2Lu2Ni2Te2
Radiation: copper Kα
Structure: a cell relaxed with GGA-PBE

Most intense lines, 10° ≤ 2θ ≤ 80°, in order of falling intensity:
Position (°2θ)	I (rel.)
34.3	100
33.3	83
30.5	76
34.8	54
59.2	32
47.4	30
51.6	28
34.9	25

Structural model:
```
Er3Tm2Lu2Ni2Te2
1.0
-1.916 7.707 4.739
1.916 -7.707 4.739
1.916 7.707 -4.739
Er Tm Lu Ni Te
3 2 2 2 2
Cartesian
0.000 0.000 0.000 Er
1.916 5.633 0.776 Er
0.000 2.074 5.515 Er
1.916 -2.259 2.169 Tm
1.916 2.259 2.169 Tm
1.916 2.857 -1.172 Lu
0.000 4.850 3.568 Lu
0.000 3.638 0.651 Ni
0.000 11.776 0.651 Ni
0.000 0.000 3.207 Te
0.000 7.707 2.212 Te
```


Theoretical X-ray diffraction stick pattern
Compound: Er4TmLu2Ni2Te2
Radiation: copper Kα
Structure: a cell relaxed with GGA-PBE

Most intense lines, 10° ≤ 2θ ≤ 80°, in order of falling intensity:
Position (°2θ)	I (rel.)
34.4	100
33.3	80
30.6	74
34.9	53
59.3	36
47.5	29
51.7	27
35.0	24

Structural model:
```
Er4TmLu2Ni2Te2
1.0
-1.913 7.694 4.736
1.913 -7.694 4.736
1.913 7.694 -4.736
Er Tm Lu Ni Te
4 1 2 2 2
Cartesian
0.000 2.251 0.000 Er
1.913 4.844 1.394 Er
0.000 2.850 6.130 Er
0.000 13.136 0.000 Er
0.000 7.694 2.568 Tm
1.913 -2.071 3.343 Lu
1.913 2.071 3.343 Lu
1.913 3.641 -1.517 Ni
0.000 4.053 3.219 Ni
1.913 0.000 1.044 Te
0.000 0.000 4.769 Te
```


Theoretical X-ray diffraction stick pattern
Compound: Y2Er2Tm2LuNi2Te2
Radiation: copper Kα
Structure: a cell relaxed with GGA-PBE

Most intense lines, 10° ≤ 2θ ≤ 80°, in order of falling intensity:
Position (°2θ)	I (rel.)
34.3	100
33.2	91
34.8	74
30.6	55
29.1	49
59.3	41
36.9	38
51.5	36

Structural model:
```
Y2Er2Tm2LuNi2Te2
1.0
-1.910 7.740 4.754
1.910 -7.740 4.754
1.910 7.740 -4.754
Y Er Tm Lu Ni Te
2 2 2 1 2 2
Cartesian
0.000 2.036 0.000 Y
0.000 13.445 0.000 Y
1.910 -2.270 3.346 Er
1.910 2.270 3.346 Er
0.000 4.882 1.912 Tm
0.000 10.599 1.912 Tm
0.000 0.000 5.531 Lu
1.910 4.067 0.096 Ni
0.000 3.673 4.850 Ni
0.000 0.000 2.349 Te
0.000 7.740 3.279 Te
```


Theoretical X-ray diffraction stick pattern
Compound: Y2ErTm2Lu2Ni2Te2
Radiation: copper Kα
Structure: a cell relaxed with GGA-PBE

Most intense lines, 10° ≤ 2θ ≤ 80°, in order of falling intensity:
Position (°2θ)	I (rel.)
34.4	100
33.2	61
30.6	50
34.9	49
59.4	30
51.6	25
47.7	23
45.4	15

Structural model:
```
Y2ErTm2Lu2Ni2Te2
1.0
-1.907 7.714 4.745
1.907 -7.714 4.745
1.907 7.714 -4.745
Y Er Tm Lu Ni Te
2 1 2 2 2 2
Cartesian
0.000 2.850 0.000 Y
0.000 12.579 0.000 Y
0.000 7.714 3.592 Er
1.907 -2.039 2.825 Tm
1.907 2.039 2.825 Tm
1.907 5.450 1.412 Lu
0.000 2.264 6.157 Lu
1.907 3.679 -1.845 Ni
0.000 4.036 2.901 Ni
0.000 0.000 1.372 Te
0.000 7.714 0.409 Te
```


Theoretical X-ray diffraction stick pattern
Compound: Y2Er2Tm2LuNi2Te2
Radiation: copper Kα
Structure: a cell relaxed with GGA-PBE

Most intense lines, 10° ≤ 2θ ≤ 80°, in order of falling intensity:
Position (°2θ)	I (rel.)
34.3	100
34.8	88
33.2	79
30.6	50
47.5	33
59.2	30
30.4	27
51.5	24

Structural model:
```
Y2Er2Tm2LuNi2Te2
1.0
-1.912 7.731 4.748
1.912 -7.731 4.748
1.912 7.731 -4.748
Y Er Tm Lu Ni Te
2 2 2 1 2 2
Cartesian
0.000 2.259 0.000 Y
0.000 13.202 0.000 Y
1.912 4.879 -1.416 Er
0.000 2.852 3.332 Er
0.000 5.670 1.406 Tm
0.000 9.791 1.406 Tm
1.912 0.000 2.193 Lu
1.912 3.708 1.524 Ni
0.000 4.023 6.272 Ni
0.000 0.000 4.709 Te
0.000 7.731 3.729 Te
```


Theoretical X-ray diffraction stick pattern
Compound: Y2Er2Tm2LuNi2Te2
Radiation: copper Kα
Structure: a cell relaxed with GGA-PBE

Most intense lines, 10° ≤ 2θ ≤ 80°, in order of falling intensity:
Position (°2θ)	I (rel.)
34.2	100
33.0	61
30.5	50
34.7	48
59.1	29
51.4	24
47.6	23
45.1	15

Structural model:
```
Y2Er2Tm2LuNi2Te2
1.0
-1.912 7.761 4.776
1.912 -7.761 4.776
1.912 7.761 -4.776
Y Er Tm Lu Ni Te
2 2 2 1 2 2
Cartesian
0.000 2.861 0.000 Y
0.000 12.660 0.000 Y
1.912 5.498 1.431 Er
0.000 2.262 6.207 Er
1.912 -2.065 2.834 Tm
1.912 2.065 2.834 Tm
0.000 7.761 3.601 Lu
1.912 3.706 -1.883 Ni
0.000 4.055 2.893 Ni
0.000 0.000 1.376 Te
0.000 7.761 0.383 Te
```


Theoretical X-ray diffraction stick pattern
Compound: Y2ErTm2Lu2Ni2Te2
Radiation: copper Kα
Structure: a cell relaxed with GGA-PBE

Most intense lines, 10° ≤ 2θ ≤ 80°, in order of falling intensity:
Position (°2θ)	I (rel.)
34.4	100
34.9	93
33.4	80
30.6	49
59.3	31
47.5	31
30.5	26
25.1	23

Structural model:
```
Y2ErTm2Lu2Ni2Te2
1.0
-1.915 7.705 4.722
1.915 -7.705 4.722
1.915 7.705 -4.722
Y Er Tm Lu Ni Te
2 1 2 2 2 2
Cartesian
0.000 2.266 0.000 Y
0.000 13.143 0.000 Y
1.915 0.000 2.196 Er
1.915 4.857 -1.390 Tm
0.000 2.848 3.332 Tm
0.000 5.637 1.405 Lu
0.000 9.772 1.405 Lu
1.915 3.709 1.534 Ni
0.000 3.996 6.257 Ni
0.000 0.000 4.711 Te
0.000 7.705 3.703 Te
```


Theoretical X-ray diffraction stick pattern
Compound: Y2Er2Tm2LuNi2Te2
Radiation: copper Kα
Structure: a cell relaxed with GGA-PBE

Most intense lines, 10° ≤ 2θ ≤ 80°, in order of falling intensity:
Position (°2θ)	I (rel.)
34.2	100
33.1	60
30.5	50
34.7	48
59.1	29
51.4	24
47.5	23
45.2	15

Structural model:
```
Y2Er2Tm2LuNi2Te2
1.0
-1.914 7.759 4.771
1.914 -7.759 4.771
1.914 7.759 -4.771
Y Er Tm Lu Ni Te
2 2 2 1 2 2
Cartesian
0.000 2.861 0.000 Y
0.000 12.657 0.000 Y
1.914 -2.047 2.843 Er
1.914 2.047 2.843 Er
1.914 5.488 1.423 Tm
0.000 2.271 6.194 Tm
0.000 7.759 3.614 Lu
1.914 3.700 -1.850 Ni
0.000 4.059 2.921 Ni
0.000 0.000 1.375 Te
0.000 7.759 0.417 Te
```


Theoretical X-ray diffraction stick pattern
Compound: Y2ErTm2Lu2Ni2Te2
Radiation: copper Kα
Structure: a cell relaxed with GGA-PBE

Most intense lines, 10° ≤ 2θ ≤ 80°, in order of falling intensity:
Position (°2θ)	I (rel.)
34.3	100
33.1	93
30.5	83
29.1	50
34.7	47
59.1	43
36.8	40
51.6	36

Structural model:
```
Y2ErTm2Lu2Ni2Te2
1.0
-1.915 7.713 4.766
1.915 -7.713 4.766
1.915 7.713 -4.766
Y Er Tm Lu Ni Te
2 1 2 2 2 2
Cartesian
0.000 2.035 0.000 Y
0.000 13.392 0.000 Y
0.000 0.000 5.537 Er
1.915 -2.279 3.368 Tm
1.915 2.279 3.368 Tm
0.000 4.853 1.920 Lu
0.000 10.573 1.920 Lu
1.915 4.087 0.109 Ni
0.000 3.626 4.874 Ni
0.000 0.000 2.368 Te
0.000 7.713 3.268 Te
```


Theoretical X-ray diffraction stick pattern
Compound: Y2Er2Lu3Ni2Te2
Radiation: copper Kα
Structure: a cell relaxed with GGA-PBE

Most intense lines, 10° ≤ 2θ ≤ 80°, in order of falling intensity:
Position (°2θ)	I (rel.)
34.4	100
33.3	93
34.9	76
30.6	55
29.1	51
59.3	42
36.9	40
51.7	37

Structural model:
```
Y2Er2Lu3Ni2Te2
1.0
-1.909 7.711 4.745
1.909 -7.711 4.745
1.909 7.711 -4.745
Y Er Lu Ni Te
2 2 3 2 2
Cartesian
0.000 2.032 0.000 Y
0.000 13.389 0.000 Y
1.909 -2.270 3.354 Er
1.909 2.270 3.354 Er
0.000 4.860 1.909 Lu
0.000 0.000 5.520 Lu
0.000 10.562 1.909 Lu
1.909 4.072 0.109 Ni
0.000 3.639 4.854 Ni
0.000 0.000 2.355 Te
0.000 7.711 3.259 Te
```